The following is a calculated powder X-ray diffraction pattern of DyGeTeAuSe2. It was derived from a structure optimized by DFT (PBE), using Cu Ka.
No peak broadening, texture or thermal motion is included.

Peak list (10 most intense, 10° ≤ 2θ ≤ 90°, in order of rising 2θ)
2θ (°)  intensity
12.78  57
28.27  12
30.67  26
32.26  28
33.78  100
34.82  14
42.94  20
45.43  17
46.34  12
58.49  15

Cell and atoms:
```
DyGeTeAuSe2
1.0
1.997 -6.928 0.000
1.997 6.928 0.000
0.000 0.000 11.101
Dy Ge Te Au Se
2 2 2 2 4
direct
0.000 0.000 0.000 Dy
0.000 0.000 0.500 Dy
0.185 0.815 0.750 Ge
0.815 0.185 0.250 Ge
0.112 0.888 0.250 Te
0.888 0.112 0.750 Te
0.472 0.528 0.250 Au
0.528 0.472 0.750 Au
0.356 0.644 0.061 Se
0.356 0.644 0.439 Se
0.644 0.356 0.561 Se
0.644 0.356 0.939 Se
```